Theoretical X-ray diffraction stick pattern of Sm2Ga2Fe15C for Cu Kα (weighted mean of Kα1 and Kα2), from a DFT-relaxed cell (GGA-PBE, Alexandria).
Lines closer than 0.1° are merged.

Peak list (6 most intense, 10 to 80 degrees two-theta, in order of rising 2θ)
2θ 29.78, intensity 27
2θ 36.08, intensity 61
2θ 37.51, intensity 49
2θ 41.91, intensity 94
2θ 42.26, intensity 100
2θ 43.42, intensity 51

Cell and atoms:
```
20
Lattice="4.864 -4.316 0.000 4.864 4.316 0.000 -1.025 0.000 6.397" Properties=species:S:1:pos:R:3 pbc="T T T"
Sm 1.149 0.000 2.283
Sm 7.553 0.000 4.114
Ga 3.741 0.000 0.659
Ga 4.962 0.000 5.738
Fe 2.432 2.158 0.000
Fe 0.642 0.000 5.438
Fe 3.604 2.128 2.195
Fe 2.707 1.265 4.526
Fe 4.864 2.472 0.000
Fe 5.098 2.128 4.202
Fe 2.707 -1.265 4.526
Fe 2.432 -2.158 0.000
Fe 4.351 0.000 3.198
Fe 5.995 1.265 1.871
Fe 3.604 -2.128 2.195
Fe 4.864 -2.472 0.000
Fe 5.995 -1.265 1.871
Fe 5.098 -2.128 4.202
Fe 8.061 0.000 0.959
C 0.000 0.000 0.000
```

=====

Theoretical X-ray diffraction stick pattern of AcNd2Pd for Cu Kα (weighted mean of Kα1 and Kα2), from a DFT-relaxed cell (GGA-PBE, Alexandria).
Lines closer than 0.1° are merged.

Peak list (6 most intense, 10 to 80 degrees two-theta, in order of rising 2θ)
2θ 29.15, intensity 100
2θ 29.60, intensity 67
2θ 30.05, intensity 37
2θ 32.34, intensity 87
2θ 45.45, intensity 24
2θ 54.63, intensity 35

Cell and atoms:
```
8
Lattice="3.991 0.000 0.000 0.000 10.358 0.000 -1.995 0.000 6.209" Properties=species:S:1:pos:R:3 pbc="T T T"
Ac 0.002 2.589 0.964
Ac 1.994 7.768 5.245
Nd 0.002 0.632 4.481
Nd 0.002 4.547 4.481
Nd 1.994 5.811 1.728
Nd 1.994 9.726 1.728
Pd -0.002 7.768 2.787
Pd 1.998 2.589 3.422
```

=====

Theoretical X-ray diffraction stick pattern of La2Pd5Au4 for Cu Kα (weighted mean of Kα1 and Kα2), from a DFT-relaxed cell (GGA-PBE, Alexandria).
Lines closer than 0.1° are merged.

Peak list (6 most intense, 10 to 80 degrees two-theta, in order of rising 2θ)
2θ 19.94, intensity 33
2θ 33.35, intensity 58
2θ 36.35, intensity 96
2θ 37.96, intensity 100
2θ 40.51, intensity 55
2θ 41.80, intensity 48

Cell and atoms:
```
11
Lattice="0.000 4.663 8.907 2.800 0.000 8.907 2.800 4.663 0.000" Properties=species:S:1:pos:R:3 pbc="T T T"
La 2.800 4.663 2.306
La 2.800 4.663 15.508
Pd 1.400 2.332 0.000
Pd 1.400 2.332 4.454
Pd 1.400 2.332 8.907
Pd 2.800 4.663 8.907
Pd 4.199 6.995 13.361
Au 2.800 3.160 6.628
Au 2.800 3.160 11.186
Au 2.800 6.167 6.628
Au 2.800 6.167 11.186
```

=====

Theoretical X-ray diffraction stick pattern of Na2HfH6 for Cu Kα (weighted mean of Kα1 and Kα2), from a DFT-relaxed cell (GGA-PBE, Alexandria).
Lines closer than 0.1° are merged.

Peak list (6 most intense, 10 to 80 degrees two-theta, in order of rising 2θ)
2θ 19.25, intensity 100
2θ 22.27, intensity 29
2θ 31.69, intensity 70
2θ 37.35, intensity 57
2θ 49.77, intensity 25
2θ 56.45, intensity 27

Cell and atoms:
```
9
Lattice="0.000 3.993 3.993 3.993 0.000 3.993 3.993 3.993 0.000" Properties=species:S:1:pos:R:3 pbc="T T T"
Na 1.996 1.996 1.996
Na 5.989 5.989 5.989
Hf 0.000 0.000 0.000
H 3.993 3.993 1.947
H 3.993 1.947 3.993
H 6.038 3.993 3.993
H 1.947 3.993 3.993
H 3.993 6.038 3.993
H 3.993 3.993 6.038
```

=====

Theoretical X-ray diffraction stick pattern of Ti12Co6Pt for Cu Kα (weighted mean of Kα1 and Kα2), from a DFT-relaxed cell (GGA-PBE, Alexandria).
Lines closer than 0.1° are merged.

Peak list (6 most intense, 10 to 80 degrees two-theta, in order of rising 2θ)
2θ 20.98, intensity 31
2θ 26.63, intensity 100
2θ 28.27, intensity 24
2θ 39.24, intensity 24
2θ 43.83, intensity 79
2θ 45.96, intensity 62

Cell and atoms:
```
19
Lattice="5.465 3.155 3.157 -5.465 3.155 3.157 0.000 -6.310 3.157" Properties=species:S:1:pos:R:3 pbc="T T T"
Ti -4.654 1.011 4.192
Ti -3.203 -3.525 5.279
Ti -1.366 -1.703 3.702
Ti 1.451 -4.536 4.192
Ti -0.792 2.034 3.702
Ti -2.157 0.331 5.770
Ti 2.157 -0.331 3.702
Ti 0.792 -2.034 5.770
Ti -1.451 4.536 5.279
Ti 1.366 1.703 5.770
Ti 3.203 3.525 4.192
Ti 4.654 -1.011 5.279
Co -2.581 0.451 3.338
Co 0.900 -2.461 3.338
Co -1.681 -2.010 6.134
Co 1.681 2.010 3.338
Co -0.900 2.461 6.134
Co 2.581 -0.451 6.134
Pt 0.000 0.000 0.000
```

=====

Theoretical X-ray diffraction stick pattern of Na2Tl3Cd3 for Cu Kα (weighted mean of Kα1 and Kα2), from a DFT-relaxed cell (GGA-PBE, Alexandria).
Lines closer than 0.1° are merged.

Peak list (6 most intense, 10 to 80 degrees two-theta, in order of rising 2θ)
2θ 20.86, intensity 34
2θ 33.27, intensity 100
2θ 36.55, intensity 28
2θ 52.65, intensity 18
2θ 54.98, intensity 24
2θ 71.85, intensity 21

Cell and atoms:
```
8
Lattice="4.258 2.458 3.477 -4.258 2.458 3.477 0.000 -4.916 3.477" Properties=species:S:1:pos:R:3 pbc="T T T"
Na 0.000 0.000 2.583
Na 0.000 0.000 7.848
Tl -2.150 0.000 5.215
Tl 1.075 -1.862 5.215
Tl 1.075 1.862 5.215
Cd -1.060 -3.081 3.477
Cd -2.138 2.458 3.477
Cd 3.198 0.623 3.477
```

=====

Q: Number 3 is which compound?
A: La2Pd5Au4